(1)
Calculated X-ray powder pattern
Compound: TaAgCl6
Radiation: Cu Kα (λ = 1.5418 Å)
Structure: DFT lattice parameters and positions (GGA-PBE)
Kinematic intensities with the Lorentz-polarization factor, no thermal factor.

Crystal structure
abc: 5.875 5.875 11.438
angles: 90.00 90.00 90.00
Fractional positions:
Ta 0.000 0.000 0.000
Ta 0.000 0.000 0.500
Ag 0.500 0.500 0.250
Ag 0.500 0.500 0.750
Cl 0.203 0.203 0.147
Cl 0.203 0.203 0.853
Cl 0.203 0.797 0.353
Cl 0.203 0.797 0.647
Cl 0.283 0.283 0.500
Cl 0.283 0.717 0.000
Cl 0.717 0.283 0.000
Cl 0.717 0.717 0.500
Cl 0.797 0.203 0.353
Cl 0.797 0.203 0.647
Cl 0.797 0.797 0.147
Cl 0.797 0.797 0.853

Largest 10 diffraction maxima, sorted by position, 15 to 90 degrees two-theta:
- 2θ = 15.08°, rel. 15
- 2θ = 21.39°, rel. 70
- 2θ = 21.69°, rel. 100
- 2θ = 31.86°, rel. 20
- 2θ = 37.68°, rel. 69
- 2θ = 38.21°, rel. 27
- 2θ = 43.57°, rel. 23
- 2θ = 44.20°, rel. 23
- 2θ = 49.18°, rel. 21
- 2θ = 59.32°, rel. 17

=====

(2)
Calculated X-ray powder pattern
Compound: Ag3Te2Cl2
Radiation: Cu Kα (λ = 1.5418 Å)
Structure: DFT lattice parameters and positions (GGA-PBE)
Kinematic intensities with the Lorentz-polarization factor, no thermal factor.

Crystal structure
abc: 7.534 7.534 7.534
angles: 109.47 109.47 109.47
Fractional positions:
Ag 0.159 0.909 0.250
Ag 0.250 0.159 0.909
Ag 0.341 0.591 0.750
Ag 0.591 0.750 0.341
Ag 0.750 0.341 0.591
Ag 0.909 0.250 0.159
Te 0.000 0.670 0.500
Te 0.500 0.000 0.670
Te 0.670 0.500 0.000
Te 0.830 0.830 0.830
Cl 0.000 0.138 0.500
Cl 0.138 0.500 0.000
Cl 0.362 0.362 0.362
Cl 0.500 0.000 0.138

Largest 10 diffraction maxima, sorted by position, 15 to 90 degrees two-theta:
- 2θ = 20.42°, rel. 11
- 2θ = 25.07°, rel. 14
- 2θ = 32.55°, rel. 100
- 2θ = 38.73°, rel. 72
- 2θ = 46.70°, rel. 12
- 2θ = 51.46°, rel. 11
- 2θ = 53.73°, rel. 21
- 2θ = 66.22°, rel. 25
- 2θ = 68.18°, rel. 10
- 2θ = 70.10°, rel. 12

=====

(3)
Calculated X-ray powder pattern
Compound: Tl2AgCl3
Radiation: Cu Kα (λ = 1.5418 Å)
Structure: DFT lattice parameters and positions (GGA-PBE)
Kinematic intensities with the Lorentz-polarization factor, no thermal factor.

Crystal structure
abc: 8.341 8.341 8.341
angles: 70.70 70.70 70.70
Fractional positions:
Tl 0.115 0.440 0.673
Tl 0.327 0.885 0.560
Tl 0.440 0.673 0.115
Tl 0.560 0.327 0.885
Tl 0.673 0.115 0.440
Tl 0.885 0.560 0.327
Ag 0.000 0.000 0.000
Ag 0.167 0.167 0.167
Ag 0.833 0.833 0.833
Cl 0.085 0.858 0.329
Cl 0.142 0.671 0.915
Cl 0.301 0.301 0.301
Cl 0.329 0.085 0.858
Cl 0.500 0.500 0.500
Cl 0.671 0.915 0.142
Cl 0.699 0.699 0.699
Cl 0.858 0.329 0.085
Cl 0.915 0.142 0.671

Largest 10 diffraction maxima, sorted by position, 15 to 90 degrees two-theta:
- 2θ = 21.80°, rel. 32
- 2θ = 23.35°, rel. 100
- 2θ = 28.77°, rel. 16
- 2θ = 29.86°, rel. 55
- 2θ = 32.13°, rel. 59
- 2θ = 34.34°, rel. 99
- 2θ = 40.09°, rel. 20
- 2θ = 43.62°, rel. 15
- 2θ = 47.71°, rel. 35
- 2θ = 47.84°, rel. 13

=====

(4)
Calculated X-ray powder pattern
Compound: CoAg
Radiation: Cu Kα (λ = 1.5418 Å)
Structure: DFT lattice parameters and positions (GGA-PBE)
Kinematic intensities with the Lorentz-polarization factor, no thermal factor.

Crystal structure
abc: 2.736 2.736 17.803
angles: 90.00 90.00 120.00
Fractional positions:
Co 0.000 0.000 0.000
Co 0.000 0.000 0.314
Co 0.333 0.667 0.103
Co 0.667 0.333 0.212
Ag 0.000 0.000 0.586
Ag 0.333 0.667 0.729
Ag 0.667 0.333 0.443
Ag 0.667 0.333 0.871

Largest 10 diffraction maxima, sorted by position, 15 to 90 degrees two-theta:
- 2θ = 35.29°, rel. 39
- 2θ = 39.36°, rel. 60
- 2θ = 40.54°, rel. 18
- 2θ = 41.02°, rel. 100
- 2θ = 43.26°, rel. 48
- 2θ = 46.02°, rel. 69
- 2θ = 61.02°, rel. 18
- 2θ = 68.61°, rel. 35
- 2θ = 75.63°, rel. 15
- 2θ = 79.58°, rel. 20

=====

(5)
Calculated X-ray powder pattern
Compound: CsCoAgSeS2
Radiation: Cu Kα (λ = 1.5418 Å)
Structure: DFT lattice parameters and positions (GGA-PBE)
Kinematic intensities with the Lorentz-polarization factor, no thermal factor.

Crystal structure
abc: 8.402 8.402 9.988
angles: 90.00 90.00 155.75
Fractional positions:
Cs 0.247 0.753 0.750
Cs 0.753 0.247 0.250
Co 0.500 0.500 0.000
Co 0.500 0.500 0.500
Ag 0.065 0.935 0.250
Ag 0.935 0.065 0.750
Se 0.443 0.557 0.250
Se 0.557 0.443 0.750
S 0.092 0.908 0.013
S 0.092 0.908 0.487
S 0.908 0.092 0.513
S 0.908 0.092 0.987

Largest 10 diffraction maxima, sorted by position, 15 to 90 degrees two-theta:
- 2θ = 17.76°, rel. 37
- 2θ = 21.64°, rel. 15
- 2θ = 31.46°, rel. 100
- 2θ = 32.71°, rel. 15
- 2θ = 35.97°, rel. 35
- 2θ = 37.44°, rel. 28
- 2θ = 40.74°, rel. 42
- 2θ = 47.40°, rel. 13
- 2θ = 55.45°, rel. 21
- 2θ = 82.51°, rel. 13

=====

(6)
Calculated X-ray powder pattern
Compound: CsCoAgTeS2
Radiation: Cu Kα (λ = 1.5418 Å)
Structure: DFT lattice parameters and positions (GGA-PBE)
Kinematic intensities with the Lorentz-polarization factor, no thermal factor.

Crystal structure
abc: 8.749 8.749 10.234
angles: 90.00 90.00 156.65
Fractional positions:
Cs 0.236 0.764 0.750
Cs 0.764 0.236 0.250
Co 0.000 0.000 0.000
Co 0.000 0.000 0.500
Ag 0.439 0.561 0.250
Ag 0.561 0.439 0.750
Te 0.068 0.932 0.250
Te 0.932 0.068 0.750
S 0.412 0.588 0.019
S 0.412 0.588 0.481
S 0.588 0.412 0.519
S 0.588 0.412 0.981

Largest 10 diffraction maxima, sorted by position, 15 to 90 degrees two-theta:
- 2θ = 17.33°, rel. 45
- 2θ = 30.97°, rel. 100
- 2θ = 31.32°, rel. 17
- 2θ = 35.07°, rel. 34
- 2θ = 36.01°, rel. 22
- 2θ = 39.95°, rel. 41
- 2θ = 45.93°, rel. 12
- 2θ = 51.63°, rel. 11
- 2θ = 54.20°, rel. 25
- 2θ = 63.95°, rel. 11

=====

(7)
Calculated X-ray powder pattern
Compound: Co2AgGe2
Radiation: Cu Kα (λ = 1.5418 Å)
Structure: DFT lattice parameters and positions (GGA-PBE)
Kinematic intensities with the Lorentz-polarization factor, no thermal factor.

Crystal structure
abc: 5.251 4.000 6.765
angles: 90.00 90.00 90.00
Fractional positions:
Co 0.000 0.000 0.000
Co 0.250 0.000 0.326
Co 0.500 0.000 0.000
Co 0.750 0.000 0.674
Ag 0.000 0.500 0.500
Ag 0.500 0.500 0.500
Ge 0.250 0.000 0.702
Ge 0.250 0.500 0.109
Ge 0.750 0.000 0.298
Ge 0.750 0.500 0.891

Largest 10 diffraction maxima, sorted by position, 15 to 90 degrees two-theta:
- 2θ = 31.06°, rel. 13
- 2θ = 34.73°, rel. 31
- 2θ = 38.86°, rel. 11
- 2θ = 43.34°, rel. 100
- 2θ = 43.65°, rel. 47
- 2θ = 45.35°, rel. 41
- 2θ = 46.22°, rel. 56
- 2θ = 64.76°, rel. 27
- 2θ = 82.38°, rel. 19
- 2θ = 89.88°, rel. 16

=====

(8)
Calculated X-ray powder pattern
Compound: Li4CoAgGe2
Radiation: Cu Kα (λ = 1.5418 Å)
Structure: DFT lattice parameters and positions (GGA-PBE)
Kinematic intensities with the Lorentz-polarization factor, no thermal factor.

Crystal structure
abc: 4.216 4.216 6.124
angles: 90.00 90.00 90.00
Fractional positions:
Li 0.000 0.000 0.000
Li 0.000 0.500 0.737
Li 0.500 0.000 0.263
Li 0.500 0.500 0.500
Co 0.000 0.000 0.500
Ag 0.500 0.500 0.000
Ge 0.000 0.500 0.290
Ge 0.500 0.000 0.710

Largest 10 diffraction maxima, sorted by position, 15 to 90 degrees two-theta:
- 2θ = 25.65°, rel. 100
- 2θ = 33.43°, rel. 9
- 2θ = 42.31°, rel. 60
- 2θ = 42.91°, rel. 32
- 2θ = 49.62°, rel. 13
- 2θ = 50.66°, rel. 30
- 2θ = 62.29°, rel. 10
- 2θ = 67.64°, rel. 10
- 2θ = 76.97°, rel. 7
- 2θ = 78.20°, rel. 18

=====

(9)
Calculated X-ray powder pattern
Compound: PrCoAgGe2
Radiation: Cu Kα (λ = 1.5418 Å)
Structure: DFT lattice parameters and positions (GGA-PBE)
Kinematic intensities with the Lorentz-polarization factor, no thermal factor.

Crystal structure
abc: 6.072 6.072 6.072
angles: 139.18 139.18 59.10
Fractional positions:
Pr 0.000 0.000 0.000
Co 0.750 0.250 0.500
Ag 0.250 0.750 0.500
Ge 0.380 0.380 0.000
Ge 0.620 0.620 0.000

Largest 10 diffraction maxima, sorted by position, 15 to 90 degrees two-theta:
- 2θ = 33.08°, rel. 61
- 2θ = 34.43°, rel. 100
- 2θ = 42.70°, rel. 56
- 2θ = 48.13°, rel. 26
- 2θ = 55.06°, rel. 28
- 2θ = 61.05°, rel. 14
- 2θ = 61.98°, rel. 18
- 2θ = 66.28°, rel. 20
- 2θ = 72.86°, rel. 21
- 2θ = 86.95°, rel. 14

=====

(10)
Calculated X-ray powder pattern
Compound: CoAg2HgSe4
Radiation: Cu Kα (λ = 1.5418 Å)
Structure: DFT lattice parameters and positions (GGA-PBE)
Kinematic intensities with the Lorentz-polarization factor, no thermal factor.

Crystal structure
abc: 8.247 7.172 6.967
angles: 90.00 90.00 90.00
Fractional positions:
Co 0.000 0.173 0.000
Co 0.500 0.827 0.500
Ag 0.247 0.668 0.992
Ag 0.253 0.332 0.492
Ag 0.747 0.332 0.492
Ag 0.753 0.668 0.992
Hg 0.000 0.854 0.499
Hg 0.500 0.146 0.999
Se 0.000 0.193 0.673
Se 0.000 0.873 0.108
Se 0.224 0.324 0.117
Se 0.276 0.676 0.617
Se 0.500 0.127 0.608
Se 0.500 0.807 0.173
Se 0.724 0.676 0.617
Se 0.776 0.324 0.117

Largest 10 diffraction maxima, sorted by position, 15 to 90 degrees two-theta:
- 2θ = 24.88°, rel. 100
- 2θ = 25.57°, rel. 60
- 2θ = 28.03°, rel. 92
- 2θ = 35.99°, rel. 36
- 2θ = 43.77°, rel. 57
- 2θ = 43.91°, rel. 27
- 2θ = 46.63°, rel. 89
- 2θ = 51.38°, rel. 30
- 2θ = 65.95°, rel. 20
- 2θ = 72.85°, rel. 18

=====

(11)
Calculated X-ray powder pattern
Compound: InCoAgTeS2
Radiation: Cu Kα (λ = 1.5418 Å)
Structure: DFT lattice parameters and positions (GGA-PBE)
Kinematic intensities with the Lorentz-polarization factor, no thermal factor.

Crystal structure
abc: 7.609 7.609 10.288
angles: 90.00 90.00 154.89
Fractional positions:
In 0.179 0.821 0.750
In 0.821 0.179 0.250
Co 0.500 0.500 0.000
Co 0.500 0.500 0.500
Ag 0.167 0.833 0.250
Ag 0.833 0.167 0.750
Te 0.499 0.501 0.750
Te 0.501 0.499 0.250
S 0.103 0.897 0.501
S 0.103 0.897 0.999
S 0.897 0.103 0.001
S 0.897 0.103 0.499

Largest 10 diffraction maxima, sorted by position, 15 to 90 degrees two-theta:
- 2θ = 17.24°, rel. 59
- 2θ = 32.55°, rel. 100
- 2θ = 34.88°, rel. 50
- 2θ = 36.29°, rel. 24
- 2θ = 37.06°, rel. 53
- 2θ = 40.44°, rel. 30
- 2θ = 48.45°, rel. 63
- 2θ = 51.21°, rel. 21
- 2θ = 65.79°, rel. 13
- 2θ = 67.30°, rel. 14

=====

(12)
Calculated X-ray powder pattern
Compound: NaCoAgTe3
Radiation: Cu Kα (λ = 1.5418 Å)
Structure: DFT lattice parameters and positions (GGA-PBE)
Kinematic intensities with the Lorentz-polarization factor, no thermal factor.

Crystal structure
abc: 7.377 7.377 10.788
angles: 90.00 90.00 150.02
Fractional positions:
Na 0.248 0.752 0.750
Na 0.752 0.248 0.250
Co 0.000 0.000 0.000
Co 0.000 0.000 0.500
Ag 0.419 0.581 0.250
Ag 0.581 0.419 0.750
Te 0.065 0.935 0.250
Te 0.376 0.624 0.009
Te 0.376 0.624 0.491
Te 0.624 0.376 0.509
Te 0.624 0.376 0.991
Te 0.935 0.065 0.750

Largest 10 diffraction maxima, sorted by position, 15 to 90 degrees two-theta:
- 2θ = 30.04°, rel. 75
- 2θ = 31.19°, rel. 100
- 2θ = 33.22°, rel. 97
- 2θ = 34.43°, rel. 43
- 2θ = 39.31°, rel. 38
- 2θ = 45.39°, rel. 35
- 2θ = 47.67°, rel. 35
- 2θ = 54.22°, rel. 33
- 2θ = 59.33°, rel. 35
- 2θ = 75.05°, rel. 38